# 1
# Y3HF
Simulated XRD peak list, Cu Kα, 1.54184 Å. Input: a cell relaxed with PBE.

Most intense lines, 2θ = 10–80°, low angle first:
18.43 deg, d 4.814, rel. 18.9, hkl 1 0 0; 26.18 deg, d 3.404, rel. 14.4, hkl 1 1 0; 32.21 deg, d 2.779, rel. 100.0, hkl 1 1 1; 37.36 deg, d 2.407, rel. 50.4, hkl 2 0 0; 41.97 deg, d 2.153, rel. 8.9, hkl 2 1 0; 53.87 deg, d 1.702, rel. 33.4, hkl 2 2 0; 64.16 deg, d 1.451, rel. 38.0, hkl 3 1 1; 67.39 deg, d 1.390, rel. 10.9, hkl 2 2 2

```
data_Y3HF
_cell_length_a 4.814
_cell_length_b 4.814
_cell_length_c 4.814
_cell_angle_alpha 90.00
_cell_angle_beta 90.00
_cell_angle_gamma 90.00
_symmetry_space_group_name_H-M 'P m -3 m'
_symmetry_Int_Tables_number 221
_symmetry_space_group_name_Hall '-P 4 2 3'
loop_
_atom_site_label
_atom_site_type_symbol
_atom_site_fract_x
_atom_site_fract_y
_atom_site_fract_z
_atom_site_occupancy
Y1 Y 0.000 0.000 0.500 1
H1 H 0.000 0.000 0.000 1
F1 F 0.500 0.500 0.500 1
```



# 2
# Zn2H2F
Simulated XRD peak list, Cu Kα, 1.54184 Å. Input: a cell relaxed with PBE.

Most intense lines, 2θ = 10–80°, low angle first:
17.38 deg, d 5.101, rel. 100.0, hkl 1 0 1; 29.39 deg, d 3.039, rel. 33.7, hkl 1 0 3; 33.49 deg, d 2.676, rel. 13.7, hkl 0 0 4; 35.18 deg, d 2.551, rel. 51.8, hkl 2 0 2; 35.60 deg, d 2.522, rel. 20.3, hkl 2 1 1; 43.10 deg, d 2.099, rel. 12.8, hkl 2 1 3; 47.78 deg, d 1.904, rel. 11.7, hkl 3 0 1; 56.52 deg, d 1.628, rel. 13.0, hkl 2 2 4

```
data_Zn2H2F
_cell_length_a 5.803
_cell_length_b 5.803
_cell_length_c 10.702
_cell_angle_alpha 90.00
_cell_angle_beta 90.00
_cell_angle_gamma 90.00
_symmetry_space_group_name_H-M 'I 41 m d'
_symmetry_Int_Tables_number 109
_symmetry_space_group_name_Hall 'I 4bw -2'
loop_
_atom_site_label
_atom_site_type_symbol
_atom_site_fract_x
_atom_site_fract_y
_atom_site_fract_z
_atom_site_occupancy
Zn1 Zn 0.000 0.207 0.000 1
H1 H 0.000 0.285 0.154 1
F1 F 0.000 0.000 0.654 1
```



# 3
# ZnH2F5
Simulated XRD peak list, Cu Kα, 1.54184 Å. Input: a cell relaxed with PBE.

Most intense lines, 2θ = 10–80°, low angle first:
16.69 deg, d 5.310, rel. 100.0, hkl 0 0 1; 17.98 deg, d 4.932, rel. 85.6, hkl 0 1 0; 25.27 deg, d 3.524, rel. 59.2, hkl 1 0 -1; 25.39 deg, d 3.508, rel. 35.1, hkl 1 0 0; 33.76 deg, d 2.655, rel. 14.6, hkl 0 0 2; 34.58 deg, d 2.594, rel. 20.4, hkl 0 1 -2; 36.43 deg, d 2.466, rel. 31.7, hkl 0 2 0; 46.55 deg, d 1.951, rel. 15.7, hkl -2 1 1

```
data_ZnH2F5
_cell_length_a 3.922
_cell_length_b 5.326
_cell_length_c 5.681
_cell_angle_alpha 96.73
_cell_angle_beta 106.41
_cell_angle_gamma 108.12
_symmetry_space_group_name_H-M 'P -1'
_symmetry_Int_Tables_number 2
loop_
_symmetry_equiv_pos_as_xyz
'x,y,z'
'-x,-y,-z'
loop_
_atom_site_label
_atom_site_type_symbol
_atom_site_fract_x
_atom_site_fract_y
_atom_site_fract_z
_atom_site_occupancy
Zn1 Zn 0.000 0.000 0.000 1
H1 H 0.000 0.000 0.500 1
H2 H 0.000 0.500 0.000 1
F1 F 0.139 0.959 0.354 1
F2 F 0.188 0.397 0.113 1
F3 F 0.500 0.000 0.000 1
```



# 4
# ZrH2F8
Simulated XRD peak list, Cu Kα, 1.54184 Å. Input: a cell relaxed with PBE.

Most intense lines, 2θ = 10–80°, low angle first:
12.90 deg, d 6.864, rel. 100.0, hkl 0 0 1; 15.76 deg, d 5.624, rel. 54.4, hkl 0 1 0; 18.13 deg, d 4.893, rel. 89.8, hkl 0 1 1; 22.48 deg, d 3.955, rel. 54.0, hkl 0 1 -1; 25.33 deg, d 3.516, rel. 20.9, hkl 1 0 0; 27.04 deg, d 3.297, rel. 26.5, hkl 1 1 0; 28.29 deg, d 3.155, rel. 30.1, hkl 1 0 1; 36.35 deg, d 2.472, rel. 20.2, hkl 1 -1 1

```
data_ZrH2F8
_cell_length_a 3.599
_cell_length_b 5.891
_cell_length_c 7.042
_cell_angle_alpha 77.15
_cell_angle_beta 86.22
_cell_angle_gamma 77.77
_symmetry_space_group_name_H-M 'P 1'
_symmetry_Int_Tables_number 1
loop_
_symmetry_equiv_pos_as_xyz
'x,y,z'
loop_
_atom_site_label
_atom_site_type_symbol
_atom_site_fract_x
_atom_site_fract_y
_atom_site_fract_z
_atom_site_occupancy
Zr1 Zr 0.000 0.000 0.000 1
H1 H 0.300 0.736 0.671 1
H2 H 0.944 0.449 0.358 1
F1 F 0.000 0.254 0.738 1
F2 F 0.090 0.776 0.789 1
F3 F 0.141 0.499 0.269 1
F4 F 0.433 0.219 0.981 1
F5 F 0.527 0.713 0.543 1
F6 F 0.564 0.794 0.050 1
F7 F 0.601 0.385 0.523 1
F8 F 0.952 0.033 0.267 1
```



# 5
# HfF5
Simulated XRD peak list, Cu Kα, 1.54184 Å. Input: a cell relaxed with PBE.

Most intense lines, 2θ = 10–80°, low angle first:
18.74 deg, d 4.735, rel. 100.0, hkl 1 1 0; 25.31 deg, d 3.519, rel. 91.2, hkl 1 0 1; 26.62 deg, d 3.348, rel. 33.5, hkl 2 0 0; 37.06 deg, d 2.426, rel. 37.9, hkl 1 2 1; 42.70 deg, d 2.118, rel. 33.5, hkl 1 3 0; 48.00 deg, d 1.895, rel. 17.3, hkl 1 1 2; 54.13 deg, d 1.694, rel. 22.7, hkl 2 3 1; 62.80 deg, d 1.480, rel. 20.2, hkl 1 3 2

```
data_HfF5
_cell_length_a 6.697
_cell_length_b 6.697
_cell_length_c 4.136
_cell_angle_alpha 90.00
_cell_angle_beta 90.00
_cell_angle_gamma 90.00
_symmetry_space_group_name_H-M 'I 4/m'
_symmetry_Int_Tables_number 87
_symmetry_space_group_name_Hall '-I 4'
loop_
_atom_site_label
_atom_site_type_symbol
_atom_site_fract_x
_atom_site_fract_y
_atom_site_fract_z
_atom_site_occupancy
Hf1 Hf 0.000 0.000 0.000 1
F1 F 0.000 0.000 0.500 1
F2 F 0.111 0.276 0.000 1
```



# 6
# HfF4
Simulated XRD peak list, Cu Kα, 1.54184 Å. Input: a cell relaxed with PBE.

Most intense lines, 2θ = 10–80°, low angle first:
22.86 deg, d 3.889, rel. 100.0, hkl 0 2 1; 24.39 deg, d 3.649, rel. 57.4, hkl 3 1 -1; 25.84 deg, d 3.447, rel. 93.2, hkl 2 2 0; 27.20 deg, d 3.278, rel. 39.4, hkl 3 1 -2; 29.36 deg, d 3.042, rel. 66.4, hkl 1 3 -1; 47.24 deg, d 1.924, rel. 31.6, hkl 2 4 1; 47.55 deg, d 1.912, rel. 26.4, hkl 1 3 -3; 50.90 deg, d 1.794, rel. 38.8, hkl 4 2 -4

```
data_HfF4
_cell_length_a 11.819
_cell_length_b 9.948
_cell_length_c 7.717
_cell_angle_alpha 90.00
_cell_angle_beta 125.93
_cell_angle_gamma 90.00
_symmetry_space_group_name_H-M 'C 1 2/c 1'
_symmetry_Int_Tables_number 15
loop_
_symmetry_equiv_pos_as_xyz
'x,y,z'
'-x,-y,-z'
'-x,y,-z+1/2'
'x,-y,z+1/2'
'x+1/2,y+1/2,z'
'-x+1/2,-y+1/2,-z'
'-x+1/2,y+1/2,-z+1/2'
'x+1/2,-y+1/2,z+1/2'
loop_
_atom_site_label
_atom_site_type_symbol
_atom_site_fract_x
_atom_site_fract_y
_atom_site_fract_z
_atom_site_occupancy
Hf1 Hf 0.000 0.214 0.250 1
Hf2 Hf 0.205 0.429 0.833 1
F1 F 0.000 0.394 0.750 1
F2 F 0.109 0.293 0.576 1
F3 F 0.118 0.055 0.456 1
F4 F 0.118 0.379 0.283 1
F5 F 0.123 0.153 0.150 1
F6 F 0.212 0.471 0.107 1
F7 F 0.250 0.250 0.000 1
```



# 7
# HfInHgF6
Simulated XRD peak list, Cu Kα, 1.54184 Å. Input: a cell relaxed with PBE.

Most intense lines, 2θ = 10–80°, low angle first:
16.33 deg, d 5.427, rel. 30.3, hkl 0 1 0; 23.74 deg, d 3.748, rel. 100.0, hkl 1 1 -1; 29.82 deg, d 2.996, rel. 42.1, hkl 1 0 1; 29.93 deg, d 2.986, rel. 20.8, hkl 2 0 -1; 34.19 deg, d 2.623, rel. 18.6, hkl 1 1 -2; 38.47 deg, d 2.340, rel. 20.1, hkl 0 1 2; 45.10 deg, d 2.010, rel. 54.9, hkl 1 2 1; 49.53 deg, d 1.840, rel. 13.8, hkl 2 1 -3

```
data_HfInHgF6
_cell_length_a 5.972
_cell_length_b 5.427
_cell_length_c 5.988
_cell_angle_alpha 90.00
_cell_angle_beta 119.83
_cell_angle_gamma 90.00
_symmetry_space_group_name_H-M 'P 1 m 1'
_symmetry_Int_Tables_number 6
loop_
_symmetry_equiv_pos_as_xyz
'x,y,z'
'x,-y,z'
loop_
_atom_site_label
_atom_site_type_symbol
_atom_site_fract_x
_atom_site_fract_y
_atom_site_fract_z
_atom_site_occupancy
Hf1 Hf 0.000 0.000 0.000 1
In1 In 0.333 0.500 0.666 1
Hg1 Hg 0.667 0.000 0.334 1
F1 F 0.152 0.236 0.303 1
F2 F 0.152 0.236 0.848 1
F3 F 0.696 0.236 0.848 1
```



# 8
# KLi2HfF8
Simulated XRD peak list, Cu Kα, 1.54184 Å. Input: a cell relaxed with PBE.

Most intense lines, 2θ = 10–80°, low angle first:
12.07 deg, d 7.334, rel. 36.6, hkl 0 0 1; 17.66 deg, d 5.022, rel. 100.0, hkl 1 0 0; 21.45 deg, d 4.143, rel. 76.9, hkl 1 0 1; 30.18 deg, d 2.961, rel. 40.1, hkl 1 0 2; 30.84 deg, d 2.899, rel. 27.5, hkl 1 1 0; 39.63 deg, d 2.274, rel. 37.1, hkl 1 1 2; 43.69 deg, d 2.072, rel. 24.1, hkl 2 0 2; 54.43 deg, d 1.686, rel. 17.6, hkl 2 1 2

```
data_KLi2HfF8
_cell_length_a 5.7984
_cell_length_b 5.7984
_cell_length_c 7.3340
_cell_angle_alpha 90.00
_cell_angle_beta 90.00
_cell_angle_gamma 120.00
_symmetry_space_group_name_H-M 'P -3 m 1'
_symmetry_Int_Tables_number 164
_symmetry_space_group_name_Hall '-P 3 2"'
loop_
_atom_site_label
_atom_site_type_symbol
_atom_site_fract_x
_atom_site_fract_y
_atom_site_fract_z
_atom_site_occupancy
K1 K 0.0000 0.0000 0.0000 1
Li1 Li 0.3333 0.6667 0.2555 1
Hf1 Hf 0.0000 0.0000 0.5000 1
F1 F 0.1577 0.3154 0.3324 1
F2 F 0.3333 0.6667 0.9948 1
```



- What is the formula in the fourth record?
  ZrH2F8



Please write out number 1 again, unchanged.
# Y3HF
Simulated XRD peak list, Cu Kα, 1.54184 Å. Input: a cell relaxed with PBE.

Most intense lines, 2θ = 10–80°, low angle first:
18.43 deg, d 4.814, rel. 18.9, hkl 1 0 0; 26.18 deg, d 3.404, rel. 14.4, hkl 1 1 0; 32.21 deg, d 2.779, rel. 100.0, hkl 1 1 1; 37.36 deg, d 2.407, rel. 50.4, hkl 2 0 0; 41.97 deg, d 2.153, rel. 8.9, hkl 2 1 0; 53.87 deg, d 1.702, rel. 33.4, hkl 2 2 0; 64.16 deg, d 1.451, rel. 38.0, hkl 3 1 1; 67.39 deg, d 1.390, rel. 10.9, hkl 2 2 2

```
data_Y3HF
_cell_length_a 4.814
_cell_length_b 4.814
_cell_length_c 4.814
_cell_angle_alpha 90.00
_cell_angle_beta 90.00
_cell_angle_gamma 90.00
_symmetry_space_group_name_H-M 'P m -3 m'
_symmetry_Int_Tables_number 221
_symmetry_space_group_name_Hall '-P 4 2 3'
loop_
_atom_site_label
_atom_site_type_symbol
_atom_site_fract_x
_atom_site_fract_y
_atom_site_fract_z
_atom_site_occupancy
Y1 Y 0.000 0.000 0.500 1
H1 H 0.000 0.000 0.000 1
F1 F 0.500 0.500 0.500 1
```